Entry 1:
Diffraction record for AcPmTl. The X-ray diffraction stick pattern is calculated, not measured: it uses a structure optimized by DFT (PBE) and Cu Kα.
Kinematic intensities with the Lorentz-polarization factor, no thermal factor.

Most intense lines, 2θ from 10° to 90°, sorted by position:
Position (°2θ)	I_rel	hkl
29.92	100	1 0 3
32.62	42	1 1 0
38.53	11	0 0 6
46.80	16	2 0 0
51.35	24	1 1 6
56.55	34	2 1 3
62.17	11	2 0 6
83.36	8	2 1 9

Structure:
```
6
Lattice="3.882 0.000 0.000 0.000 3.882 0.000 0.000 0.000 14.021" Properties=species:S:1:pos:R:3 pbc="T T T"
Ac 0.000 0.000 0.000
Ac 1.941 1.941 7.010
Pm 0.000 0.000 9.733
Pm 1.941 1.941 2.722
Tl 0.000 0.000 4.625
Tl 1.941 1.941 11.635
```



Entry 2:
Diffraction record for Ac2Pm2Tl3. The X-ray diffraction stick pattern is calculated, not measured: it uses a structure optimized by DFT (PBE) and Cu Kα.
Kinematic intensities with the Lorentz-polarization factor, no thermal factor.

Most intense lines, 2θ from 10° to 90°, sorted by position:
Position (°2θ)	I_rel	hkl
28.72	61	0 2 -1
29.39	100	1 2 1
32.64	27	0 1 3
33.57	86	1 0 2
36.05	13	0 2 3
46.39	19	2 1 0
48.44	18	1 4 0
56.70	17	1 3 -3

Structure:
```
7
Lattice="3.915 0.000 0.000 1.947 7.746 0.000 0.010 2.082 8.014" Properties=species:S:1:pos:R:3 pbc="T T T"
Ac 0.981 1.086 1.501
Ac 4.891 8.742 6.513
Pm 0.983 4.387 5.889
Pm 4.889 5.442 2.124
Tl 2.934 6.756 4.382
Tl 2.931 3.873 0.000
Tl 2.937 3.073 3.632
```